# 1
Diffraction record for PmGa2Pd2Pt. The PXRD pattern is theoretical, not measured: it uses a cell relaxed with PBE and Cu Kα (λ = 1.5418 Å).
Neutral-atom scattering factors, no anomalous dispersion.

Crystal structure
```
data_PmGa2Pd2Pt
_cell_length_a 4.7348
_cell_length_b 4.7348
_cell_length_c 5.5932
_cell_angle_alpha 90.00
_cell_angle_beta 90.00
_cell_angle_gamma 90.00
_symmetry_space_group_name_H-M 'P 4/m m m'
_symmetry_Int_Tables_number 123
_symmetry_space_group_name_Hall '-P 4 2'
loop_
_atom_site_label
_atom_site_type_symbol
_atom_site_fract_x
_atom_site_fract_y
_atom_site_fract_z
Pm1 Pm 0.0000 0.0000 0.0000
Ga1 Ga 0.0000 0.5000 0.5000
Pd1 Pd 0.5000 0.5000 0.2437
Pt1 Pt 0.0000 0.0000 0.5000
```

Top 6 peaks for 10 to 90 degrees two-theta, low angle first:
hkl  Position (°2θ)  I_rel
0 0 1  15.8  22
1 1 0  26.6  66
1 0 2  37.3  100
2 0 0  38.0  76
2 1 2  54.3  68
2 2 0  54.8  26



# 2
Diffraction record for Pm2Ga4PdPt3. The PXRD pattern is theoretical, not measured: it uses a cell relaxed with PBE and Cu Kα (λ = 1.5418 Å).
Neutral-atom scattering factors, no anomalous dispersion.

Crystal structure
```
data_Pm2Ga4PdPt3
_cell_length_a 4.2648
_cell_length_b 4.2648
_cell_length_c 10.5806
_cell_angle_alpha 90.00
_cell_angle_beta 90.00
_cell_angle_gamma 90.00
_symmetry_space_group_name_H-M 'P -4 m 2'
_symmetry_Int_Tables_number 115
_symmetry_space_group_name_Hall 'P -4 -2'
loop_
_atom_site_label
_atom_site_type_symbol
_atom_site_fract_x
_atom_site_fract_y
_atom_site_fract_z
Pm1 Pm 0.0000 0.5000 0.2452
Ga1 Ga 0.0000 0.0000 0.0000
Ga2 Ga 0.0000 0.5000 0.6308
Ga3 Ga 0.5000 0.5000 0.0000
Pd1 Pd 0.0000 0.0000 0.5000
Pt1 Pt 0.0000 0.5000 0.8660
Pt2 Pt 0.5000 0.5000 0.5000
```

Top 6 peaks for 10 to 90 degrees two-theta, low angle first:
hkl  Position (°2θ)  I_rel
1 0 3  33.0  65
1 1 2  34.2  100
2 0 0  42.4  71
1 1 4  45.6  32
1 0 5  48.0  35
2 1 3  54.7  31



# 3
Diffraction record for PmThGa2Pd5. The PXRD pattern is theoretical, not measured: it uses a cell relaxed with PBE and Cu Kα (λ = 1.5418 Å).
Neutral-atom scattering factors, no anomalous dispersion.

Crystal structure
```
data_PmThGa2Pd5
_cell_length_a 4.3399
_cell_length_b 4.3399
_cell_length_c 9.0610
_cell_angle_alpha 90.00
_cell_angle_beta 90.00
_cell_angle_gamma 90.00
_symmetry_space_group_name_H-M 'P 4/m m m'
_symmetry_Int_Tables_number 123
_symmetry_space_group_name_Hall '-P 4 2'
loop_
_atom_site_label
_atom_site_type_symbol
_atom_site_fract_x
_atom_site_fract_y
_atom_site_fract_z
Pm1 Pm 0.0000 0.0000 0.0000
Th1 Th 0.0000 0.0000 0.5000
Ga1 Ga 0.5000 0.5000 0.3611
Pd1 Pd 0.0000 0.5000 0.2254
Pd2 Pd 0.5000 0.5000 0.0000
```

Top 6 peaks for 10 to 90 degrees two-theta, low angle first:
hkl  Position (°2θ)  I_rel
1 0 2  28.5  19
1 1 2  35.3  100
2 0 0  41.6  47
2 0 4  58.9  15
2 2 0  60.3  16
3 1 2  71.9  25



# 4
Diffraction record for Pr3GaPd4. The PXRD pattern is theoretical, not measured: it uses a cell relaxed with PBE and Cu Kα (λ = 1.5418 Å).
Neutral-atom scattering factors, no anomalous dispersion.

Crystal structure
```
data_Pr3GaPd4
_cell_length_a 4.1847
_cell_length_b 6.5267
_cell_length_c 14.4427
_cell_angle_alpha 90.00
_cell_angle_beta 90.00
_cell_angle_gamma 90.00
_symmetry_space_group_name_H-M 'I m m m'
_symmetry_Int_Tables_number 71
_symmetry_space_group_name_Hall '-I 2 2'
loop_
_atom_site_label
_atom_site_type_symbol
_atom_site_fract_x
_atom_site_fract_y
_atom_site_fract_z
Pr1 Pr 0.0000 0.0000 0.0000
Pr2 Pr 0.0000 0.5000 0.1892
Ga1 Ga 0.0000 0.0000 0.5000
Pd1 Pd 0.0000 0.2896 0.3822
```

Top 6 peaks for 10 to 90 degrees two-theta, low angle first:
hkl  Position (°2θ)  I_rel
1 1 2  28.2  100
1 2 1  35.4  66
0 2 4  37.1  51
1 0 5  37.8  66
1 2 3  39.7  41
2 0 0  43.2  40



# 5
Diffraction record for Pr3GaPd3. The PXRD pattern is theoretical, not measured: it uses a cell relaxed with PBE and Cu Kα (λ = 1.5418 Å).
Neutral-atom scattering factors, no anomalous dispersion.

Crystal structure
```
data_Pr3GaPd3
_cell_length_a 4.2563
_cell_length_b 10.7070
_cell_length_c 14.5117
_cell_angle_alpha 90.00
_cell_angle_beta 90.00
_cell_angle_gamma 90.00
_symmetry_space_group_name_H-M 'C m c m'
_symmetry_Int_Tables_number 63
_symmetry_space_group_name_Hall '-C 2c 2'
loop_
_atom_site_label
_atom_site_type_symbol
_atom_site_fract_x
_atom_site_fract_y
_atom_site_fract_z
Pr1 Pr 0.0000 0.0081 0.2500
Pr2 Pr 0.0000 0.2870 0.1017
Ga1 Ga 0.0000 0.0000 0.0000
Pd1 Pd 0.0000 0.2739 0.7500
Pd2 Pd 0.0000 0.4266 0.5915
```

Top 6 peaks for 10 to 90 degrees two-theta, low angle first:
hkl  Position (°2θ)  I_rel
1 1 3  29.2  49
1 3 0  32.7  42
0 4 0  33.5  92
1 3 3  37.8  100
0 4 3  38.4  41
2 0 0  42.5  43



# 6
Diffraction record for Pr2Ga8Pd. The PXRD pattern is theoretical, not measured: it uses a cell relaxed with PBE and Cu Kα (λ = 1.5418 Å).
Neutral-atom scattering factors, no anomalous dispersion.

Crystal structure
```
data_Pr2Ga8Pd
_cell_length_a 4.4196
_cell_length_b 4.4196
_cell_length_c 11.4664
_cell_angle_alpha 90.00
_cell_angle_beta 90.00
_cell_angle_gamma 90.00
_symmetry_space_group_name_H-M 'P 4/m m m'
_symmetry_Int_Tables_number 123
_symmetry_space_group_name_Hall '-P 4 2'
loop_
_atom_site_label
_atom_site_type_symbol
_atom_site_fract_x
_atom_site_fract_y
_atom_site_fract_z
Pr1 Pr 0.0000 0.0000 0.1929
Ga1 Ga 0.0000 0.5000 0.0000
Ga2 Ga 0.0000 0.5000 0.3795
Ga3 Ga 0.5000 0.5000 0.1903
Pd1 Pd 0.0000 0.0000 0.5000
```

Top 6 peaks for 10 to 90 degrees two-theta, low angle first:
hkl  Position (°2θ)  I_rel
1 0 0  20.1  21
1 1 2  32.6  29
1 1 3  37.2  100
2 0 0  40.8  54
2 0 5  58.0  19
3 1 3  71.9  28



# 7
Diffraction record for Pr5GaPd2. The PXRD pattern is theoretical, not measured: it uses a cell relaxed with PBE and Cu Kα (λ = 1.5418 Å).
Neutral-atom scattering factors, no anomalous dispersion.

Crystal structure
```
data_Pr5GaPd2
_cell_length_a 8.0847
_cell_length_b 8.0847
_cell_length_c 13.6313
_cell_angle_alpha 90.00
_cell_angle_beta 90.00
_cell_angle_gamma 90.00
_symmetry_space_group_name_H-M 'I 4/m c m'
_symmetry_Int_Tables_number 140
_symmetry_space_group_name_Hall '-I 4 2c'
loop_
_atom_site_label
_atom_site_type_symbol
_atom_site_fract_x
_atom_site_fract_y
_atom_site_fract_z
Pr1 Pr 0.0000 0.0000 0.0000
Pr2 Pr 0.1616 0.3384 0.1452
Ga1 Ga 0.0000 0.0000 0.2500
Pd1 Pd 0.1292 0.3708 0.5000
```

Top 6 peaks for 10 to 90 degrees two-theta, low angle first:
hkl  Position (°2θ)  I_rel
2 1 3  31.6  100
2 0 4  34.4  23
3 1 0  35.1  48
4 1 3  50.7  12
3 3 4  55.2  11
5 2 3  65.5  15



# 8
Diffraction record for Pr3Ga5Pd6. The PXRD pattern is theoretical, not measured: it uses a cell relaxed with PBE and Cu Kα (λ = 1.5418 Å).
Neutral-atom scattering factors, no anomalous dispersion.

Crystal structure
```
data_Pr3Ga5Pd6
_cell_length_a 4.2927
_cell_length_b 13.0632
_cell_length_c 9.8650
_cell_angle_alpha 90.00
_cell_angle_beta 90.00
_cell_angle_gamma 90.00
_symmetry_space_group_name_H-M 'P m m n'
_symmetry_Int_Tables_number 59
loop_
_symmetry_equiv_pos_as_xyz
'x,y,z'
'-x,-y,-z'
'-x+1/2,-y+1/2,z'
'x+1/2,y+1/2,-z'
'x+1/2,-y,-z'
'-x+1/2,y,z'
'-x,y+1/2,-z'
'x,-y+1/2,z'
loop_
_atom_site_label
_atom_site_type_symbol
_atom_site_fract_x
_atom_site_fract_y
_atom_site_fract_z
Pr1 Pr 0.2500 0.0808 0.2488
Pr2 Pr 0.2500 0.7500 0.2497
Ga1 Ga 0.2500 0.0827 0.8568
Ga2 Ga 0.2500 0.6349 0.5233
Ga3 Ga 0.2500 0.7500 0.8596
Pd1 Pd 0.2500 0.0511 0.5973
Pd2 Pd 0.2500 0.2500 0.4953
Pd3 Pd 0.2500 0.2500 0.9965
Pd4 Pd 0.2500 0.5836 0.0023
```

Top 6 peaks for 10 to 90 degrees two-theta, low angle first:
hkl  Position (°2θ)  I_rel
0 3 3  34.2  27
1 0 3  34.4  36
1 3 2  34.5  100
0 6 0  41.5  33
2 0 0  42.1  36
1 3 6  64.3  16



# 9
Diffraction record for Pr2Ga4Pd3. The PXRD pattern is theoretical, not measured: it uses a cell relaxed with PBE and Cu Kα (λ = 1.5418 Å).
Neutral-atom scattering factors, no anomalous dispersion.

Crystal structure
```
data_Pr2Ga4Pd3
_cell_length_a 5.9824
_cell_length_b 15.4238
_cell_length_c 7.6229
_cell_angle_alpha 90.00
_cell_angle_beta 90.00
_cell_angle_gamma 90.00
_symmetry_space_group_name_H-M 'C m c e'
_symmetry_Int_Tables_number 64
_symmetry_space_group_name_Hall '-C 2ac 2'
loop_
_atom_site_label
_atom_site_type_symbol
_atom_site_fract_x
_atom_site_fract_y
_atom_site_fract_z
Pr1 Pr 0.0000 0.1152 0.0858
Ga1 Ga 0.0000 0.1779 0.4810
Ga2 Ga 0.2500 0.0560 0.7500
Pd1 Pd 0.0000 0.0000 0.5000
Pd2 Pd 0.2500 0.2253 0.7500
```

Top 6 peaks for 10 to 90 degrees two-theta, low angle first:
hkl  Position (°2θ)  I_rel
2 2 1  34.2  49
1 5 1  34.8  88
0 6 1  36.9  36
0 2 3  37.3  45
2 4 0  38.1  29
2 0 2  38.2  100



# 10
Diffraction record for PrGa3Pd5. The PXRD pattern is theoretical, not measured: it uses a cell relaxed with PBE and Cu Kα (λ = 1.5418 Å).
Neutral-atom scattering factors, no anomalous dispersion.

Crystal structure
```
data_PrGa3Pd5
_cell_length_a 3.9112
_cell_length_b 13.1190
_cell_length_c 13.0106
_cell_angle_alpha 90.00
_cell_angle_beta 90.00
_cell_angle_gamma 90.00
_symmetry_space_group_name_H-M 'C m c m'
_symmetry_Int_Tables_number 63
_symmetry_space_group_name_Hall '-C 2c 2'
loop_
_atom_site_label
_atom_site_type_symbol
_atom_site_fract_x
_atom_site_fract_y
_atom_site_fract_z
Pr1 Pr 0.0000 0.1355 0.2500
Ga1 Ga 0.0000 0.1237 0.7500
Ga2 Ga 0.0000 0.3803 0.5397
Pd1 Pd 0.0000 0.0000 0.0000
Pd2 Pd 0.0000 0.1989 0.5723
Pd3 Pd 0.0000 0.4547 0.1463
```

Top 6 peaks for 10 to 90 degrees two-theta, low angle first:
hkl  Position (°2θ)  I_rel
1 3 0  30.7  49
1 1 3  31.5  100
1 3 2  33.7  76
1 1 4  36.6  94
1 5 2  43.8  98
2 0 0  46.4  94



# 11
Diffraction record for Pr2GaPd5. The PXRD pattern is theoretical, not measured: it uses a cell relaxed with PBE and Cu Kα (λ = 1.5418 Å).
Neutral-atom scattering factors, no anomalous dispersion.

Crystal structure
```
data_Pr2GaPd5
_cell_length_a 6.2722
_cell_length_b 6.2722
_cell_length_c 8.3264
_cell_angle_alpha 90.00
_cell_angle_beta 90.00
_cell_angle_gamma 90.00
_symmetry_space_group_name_H-M 'I 4 m m'
_symmetry_Int_Tables_number 107
_symmetry_space_group_name_Hall 'I 4 -2'
loop_
_atom_site_label
_atom_site_type_symbol
_atom_site_fract_x
_atom_site_fract_y
_atom_site_fract_z
Pr1 Pr 0.0000 0.5000 0.0000
Ga1 Ga 0.0000 0.0000 0.2962
Pd1 Pd 0.0000 0.0000 0.9895
Pd2 Pd 0.2233 0.2233 0.7455
```

Top 6 peaks for 10 to 90 degrees two-theta, low angle first:
hkl  Position (°2θ)  I_rel
1 1 2  29.4  20
2 0 2  35.8  100
2 2 0  40.7  46
0 0 4  43.5  19
2 2 4  61.1  24
4 2 2  70.9  21



# 12
Diffraction record for PrGa3Pd3. The PXRD pattern is theoretical, not measured: it uses a cell relaxed with PBE and Cu Kα (λ = 1.5418 Å).
Neutral-atom scattering factors, no anomalous dispersion.

Crystal structure
```
data_PrGa3Pd3
_cell_length_a 7.9597
_cell_length_b 7.9597
_cell_length_c 7.9597
_cell_angle_alpha 90.00
_cell_angle_beta 90.00
_cell_angle_gamma 90.00
_symmetry_space_group_name_H-M 'P 21 3'
_symmetry_Int_Tables_number 198
_symmetry_space_group_name_Hall 'P 2ac 2ab 3'
loop_
_atom_site_label
_atom_site_type_symbol
_atom_site_fract_x
_atom_site_fract_y
_atom_site_fract_z
Pr1 Pr 0.0571 0.4429 0.5571
Ga1 Ga 0.0205 0.3097 0.9226
Pd1 Pd 0.1208 0.6208 0.8792
Pd2 Pd 0.1788 0.1788 0.1788
Pd3 Pd 0.1917 0.8083 0.3083
```

Top 6 peaks for 10 to 90 degrees two-theta, low angle first:
hkl  Position (°2θ)  I_rel
2 1 1  27.4  22
3 1 0  35.7  100
3 1 1  37.5  21
3 2 0  40.9  29
3 1 2  42.5  88
4 1 3  59.2  34